The following is a simulated powder X-ray diffraction pattern of SrHgP2Pd5. It was derived from a crystal structure in Alexandria, relaxed with GGA-PBE, using λ = 1.5418 Å (Cu Kα).
Lines closer than 0.1° are merged.

```
data_SrHgP2Pd5
_chemical_formula_sum 'Sr1 Hg1 P2 Pd5'
_cell_length_a 4.3769
_cell_length_b 4.3769
_cell_length_c 9.6753
_cell_angle_alpha 90.00
_cell_angle_beta 90.00
_cell_angle_gamma 90.00
_space_group_name_H-M_alt 'P 4/m m m'
_space_group_IT_number 123
_space_group_name_Hall '-P 4 2'
loop_
_atom_site_label
_atom_site_type_symbol
_atom_site_fract_x
_atom_site_fract_y
_atom_site_fract_z
Sr1 Sr 0.0000 0.0000 0.0000
Hg1 Hg 0.0000 0.0000 0.5000
P1 P 0.5000 0.5000 0.2353
Pd1 Pd 0.0000 0.5000 0.3139
Pd2 Pd 0.5000 0.5000 0.0000
```

Most intense lines, 5 to 70 degrees two-theta, low angle first:
| index | 2theta | I/Imax |
| --- | --- | --- |
| 0 0 1 | 9.14 | 34 |
| 1 0 1 | 22.29 | 37 |
| 1 0 2 | 27.48 | 26 |
| 0 0 3 | 27.66 | 16 |
| 1 1 2 | 34.40 | 100 |
| 1 1 3 | 40.39 | 29 |
| 2 0 0 | 41.25 | 59 |
| 1 1 4 | 47.72 | 21 |
| 2 0 3 | 50.39 | 12 |
| 2 2 0 | 59.76 | 19 |

***

The following is a simulated powder X-ray diffraction pattern of U3P4Ru4. It was derived from a crystal structure in Alexandria, relaxed with GGA-PBE, using λ = 1.5418 Å (Cu Kα).
Lines closer than 0.1° are merged.

```
data_U3P4Ru4
_chemical_formula_sum 'U6 P8 Ru8'
_cell_length_a 8.2101
_cell_length_b 3.9530
_cell_length_c 11.3540
_cell_angle_alpha 90.00
_cell_angle_beta 90.00
_cell_angle_gamma 90.00
_space_group_name_H-M_alt 'A m m 2'
_space_group_IT_number 38
loop_
_space_group_symop_operation_xyz
'x,y,z'
'-x,-y,z'
'-x,y,z'
'x,-y,z'
'x,y+1/2,z+1/2'
'-x,-y+1/2,z+1/2'
'-x,y+1/2,z+1/2'
'x,-y+1/2,z+1/2'
loop_
_atom_site_label
_atom_site_type_symbol
_atom_site_fract_x
_atom_site_fract_y
_atom_site_fract_z
U1 U 0.0000 0.0000 0.0000
U2 U 0.2848 0.0000 0.1049
P1 P 0.0000 0.0000 0.6876
P2 P 0.2386 0.0000 0.4233
P3 P 0.5000 0.0000 0.7145
Ru1 Ru 0.0000 0.0000 0.2976
Ru2 Ru 0.2493 0.0000 0.8085
Ru3 Ru 0.5000 0.0000 0.3338
```

Most intense lines, 5 to 70 degrees two-theta, low angle first:
| index | 2theta | I/Imax |
| --- | --- | --- |
| 0 1 1 | 23.83 | 58 |
| 2 0 2 | 26.80 | 15 |
| 0 1 3 | 32.75 | 36 |
| 1 1 3 | 34.58 | 13 |
| 2 0 4 | 38.56 | 22 |
| 2 1 3 | 39.61 | 100 |
| 3 1 1 | 40.89 | 24 |
| 4 0 0 | 44.12 | 21 |
| 0 2 0 | 45.91 | 25 |
| 2 1 7 | 66.35 | 23 |

***

The following is a simulated powder X-ray diffraction pattern of KSnPd4. It was derived from a crystal structure in Alexandria, relaxed with GGA-PBE, using λ = 1.5418 Å (Cu Kα).
Lines closer than 0.1° are merged.

```
data_KSnPd4
_chemical_formula_sum 'K2 Sn2 Pd8'
_cell_length_a 7.9969
_cell_length_b 4.1576
_cell_length_c 8.2614
_cell_angle_alpha 90.00
_cell_angle_beta 90.00
_cell_angle_gamma 90.00
_space_group_name_H-M_alt 'P m m a'
_space_group_IT_number 51
loop_
_space_group_symop_operation_xyz
'x,y,z'
'-x,-y,-z'
'-x+1/2,-y,z'
'x+1/2,y,-z'
'x+1/2,-y,-z'
'-x+1/2,y,z'
'-x,y,-z'
'x,-y,z'
loop_
_atom_site_label
_atom_site_type_symbol
_atom_site_fract_x
_atom_site_fract_y
_atom_site_fract_z
K1 K 0.2500 0.0000 0.1310
Sn1 Sn 0.2500 0.0000 0.7113
Pd1 Pd 0.0000 0.0000 0.5000
Pd2 Pd 0.0448 0.5000 0.7277
Pd3 Pd 0.2500 0.5000 0.4531
```

Most intense lines, 5 to 70 degrees two-theta, low angle first:
| index | 2theta | I/Imax |
| --- | --- | --- |
| 0 0 1 | 10.71 | 100 |
| 1 0 1 | 15.42 | 19 |
| 2 1 1 | 32.92 | 16 |
| 1 0 3 | 34.44 | 14 |
| 2 1 2 | 38.07 | 75 |
| 3 1 1 | 41.71 | 20 |
| 0 2 0 | 43.54 | 19 |
| 4 0 0 | 45.36 | 16 |
| 2 1 3 | 45.56 | 18 |
| 4 2 0 | 64.68 | 11 |

***

The following is a simulated powder X-ray diffraction pattern of Tb2NdYHo2. It was derived from a crystal structure in Alexandria, relaxed with GGA-PBE, using λ = 1.5418 Å (Cu Kα).
Lines closer than 0.1° are merged.

```
data_Tb2NdYHo2
_chemical_formula_sum 'Tb4 Nd2 Y2 Ho4'
_cell_length_a 6.5688
_cell_length_b 17.7843
_cell_length_c 3.4083
_cell_angle_alpha 90.00
_cell_angle_beta 90.00
_cell_angle_gamma 90.00
_space_group_name_H-M_alt 'P n n m'
_space_group_IT_number 58
loop_
_space_group_symop_operation_xyz
'x,y,z'
'-x,-y,-z'
'-x,-y,z'
'x,y,-z'
'x+1/2,-y+1/2,-z+1/2'
'-x+1/2,y+1/2,z+1/2'
'-x+1/2,y+1/2,-z+1/2'
'x+1/2,-y+1/2,z+1/2'
loop_
_atom_site_label
_atom_site_type_symbol
_atom_site_fract_x
_atom_site_fract_y
_atom_site_fract_z
Tb1 Tb 0.2284 0.1850 0.0000
Nd1 Nd 0.0000 0.0000 0.0000
Y1 Y 0.0000 0.5000 0.0000
Ho1 Ho 0.2256 0.3511 0.5000
```

Most intense lines, 5 to 70 degrees two-theta, low angle first:
| index | 2theta | I/Imax |
| --- | --- | --- |
| 0 1 1 | 26.63 | 33 |
| 2 0 0 | 27.15 | 16 |
| 2 2 0 | 28.98 | 56 |
| 0 6 0 | 30.20 | 100 |
| 1 6 0 | 33.19 | 34 |
| 2 4 0 | 33.93 | 33 |
| 1 4 1 | 35.90 | 17 |
| 2 3 1 | 41.09 | 66 |
| 1 9 1 | 55.55 | 18 |
| 4 6 0 | 64.94 | 16 |

***

The following is a simulated powder X-ray diffraction pattern of HfP2S6. It was derived from a crystal structure in Alexandria, relaxed with GGA-PBE, using λ = 1.5418 Å (Cu Kα).
Lines closer than 0.1° are merged.

```
data_HfP2S6
_chemical_formula_sum 'Hf8 P16 S48'
_cell_length_a 8.2363
_cell_length_b 11.6628
_cell_length_c 21.8179
_cell_angle_alpha 90.00
_cell_angle_beta 90.00
_cell_angle_gamma 90.00
_space_group_name_H-M_alt 'F d d 2'
_space_group_IT_number 43
_space_group_name_Hall 'F 2 -2d'
loop_
_atom_site_label
_atom_site_type_symbol
_atom_site_fract_x
_atom_site_fract_y
_atom_site_fract_z
Hf1 Hf 0.0000 0.0000 0.0000
P1 P 0.1066 0.4379 0.3362
S1 S 0.0111 0.2820 0.5156
S2 S 0.0162 0.2763 0.3265
S3 S 0.0331 0.2246 0.1681
```

Most intense lines, 5 to 70 degrees two-theta, low angle first:
| index | 2theta | I/Imax |
| --- | --- | --- |
| 1 1 1 | 13.77 | 100 |
| 0 0 4 | 16.25 | 14 |
| 0 2 2 | 17.24 | 26 |
| 1 1 3 | 17.96 | 11 |
| 2 0 2 | 23.09 | 12 |
| 1 1 5 | 24.31 | 15 |
| 0 4 0 | 30.66 | 12 |
| 2 0 6 | 32.86 | 26 |
| 1 5 1 | 40.41 | 11 |
| 2 4 6 | 45.56 | 14 |

***

The following is a simulated powder X-ray diffraction pattern of Cs6Rb3Cd2. It was derived from a crystal structure in Alexandria, relaxed with GGA-PBE, using λ = 1.5418 Å (Cu Kα).
Lines closer than 0.1° are merged.

```
data_Cs6Rb3Cd2
_chemical_formula_sum 'Cs12 Rb6 Cd4'
_cell_length_a 6.7603
_cell_length_b 6.7603
_cell_length_c 42.2037
_cell_angle_alpha 90.00
_cell_angle_beta 90.00
_cell_angle_gamma 90.00
_space_group_name_H-M_alt 'I 4/m m m'
_space_group_IT_number 139
_space_group_name_Hall '-I 4 2'
loop_
_atom_site_label
_atom_site_type_symbol
_atom_site_fract_x
_atom_site_fract_y
_atom_site_fract_z
Cs1 Cs 0.0000 0.0000 0.2062
Cs2 Cs 0.0000 0.5000 0.0872
Rb1 Rb 0.0000 0.0000 0.3230
Rb2 Rb 0.0000 0.0000 0.5000
Cd1 Cd 0.0000 0.0000 0.0346
```

Most intense lines, 5 to 70 degrees two-theta, low angle first:
| index | 2theta | I/Imax |
| --- | --- | --- |
| 1 0 7 | 19.73 | 21 |
| 1 1 4 | 20.40 | 66 |
| 1 1 6 | 22.49 | 100 |
| 2 0 0 | 26.37 | 76 |
| 1 0 11 | 26.72 | 22 |
| 1 1 12 | 31.58 | 32 |
| 2 0 10 | 33.98 | 20 |
| 2 2 0 | 37.63 | 29 |
| 3 1 6 | 44.28 | 32 |
| 2 1 17 | 47.38 | 20 |